Record 1
The following is a simulated powder diffraction line list of BaCr2Rh. It was derived from the GGA-PBE geometry in Alexandria, using λ = 1.5418 Å (Cu Kα).

Principal peaks in the range 2θ from 5° to 70°, sorted by position:
- 24.15 deg, rel. 70
- 30.40 deg, rel. 49
- 31.21 deg, rel. 87
- 34.83 deg, rel. 78
- 41.50 deg, rel. 100
- 52.30 deg, rel. 61

Cell and atoms:
```
BaCr2Rh
1.0
2.176 1.256 5.881
-2.176 1.256 5.881
0.000 -2.513 5.881
Ba Cr Rh
1 2 1
Cartesian
0.000 0.000 0.000
0.000 0.000 8.957
0.000 0.000 14.221
0.000 0.000 3.429
```

***

Record 2
The following is a simulated powder diffraction line list of BaCrRu2. It was derived from the GGA-PBE geometry in Alexandria, using λ = 1.5418 Å (Cu Kα).

Principal peaks in the range 2θ from 5° to 70°, sorted by position:
- 31.18 deg, rel. 59
- 34.04 deg, rel. 29
- 37.02 deg, rel. 100
- 41.48 deg, rel. 64
- 54.70 deg, rel. 30
- 55.26 deg, rel. 27

Cell and atoms:
```
BaCrRu2
1.0
3.079 0.000 0.000
0.000 3.079 0.000
0.000 0.000 7.900
Ba Cr Ru
1 1 2
Cartesian
0.000 0.000 0.000
0.000 0.000 3.950
1.539 1.539 2.616
1.539 1.539 5.284
```

***

Record 3
The following is a simulated powder diffraction line list of BaCr10S16. It was derived from the GGA-PBE geometry in Alexandria, using λ = 1.5418 Å (Cu Kα).

Principal peaks in the range 2θ from 5° to 70°, sorted by position:
- 10.58 deg, rel. 53
- 20.38 deg, rel. 50
- 33.29 deg, rel. 100
- 41.24 deg, rel. 61
- 47.65 deg, rel. 46
- 52.79 deg, rel. 70

Cell and atoms:
```
BaCr10S16
1.0
6.943 0.000 0.000
-1.740 9.014 0.000
-3.466 -2.308 8.358
Ba Cr S
1 10 16
Cartesian
0.000 0.000 0.000
-1.733 -1.154 4.179
-3.473 1.771 6.976
-1.736 4.941 4.432
0.003 1.752 3.940
1.730 4.981 1.382
1.738 -1.154 4.179
0.006 1.725 6.976
1.734 4.954 4.419
3.473 1.765 3.927
5.209 4.935 1.383
-3.476 5.945 5.652
-1.738 6.815 2.933
-0.016 5.911 0.105
-1.738 2.772 5.475
-0.004 3.936 2.884
-1.748 0.820 8.263
0.002 -0.101 5.410
1.734 0.761 2.707
0.003 5.946 5.652
1.735 6.808 2.948
3.484 5.886 0.095
1.740 2.770 5.474
3.474 3.934 2.883
1.753 0.795 8.254
3.474 -0.109 5.426
5.213 0.761 2.707
```